No. 1
Starting from the GGA-PBE geometry in Alexandria, the powder XRD pattern of Pa4Ge2Os was simulated for Cu Kα (weighted mean of Kα1 and Kα2).
Intensities are scaled so that the largest is 100.

Top 10 peaks for 2θ from 15° to 90°, in order of rising 2θ:
25.46 deg, I = 38; 31.71 deg, I = 100; 33.17 deg, I = 75; 33.35 deg, I = 90; 38.30 deg, I = 64; 39.08 deg, I = 73; 39.54 deg, I = 45; 52.29 deg, I = 38; 54.04 deg, I = 31; 55.00 deg, I = 31

Structural model:
Cell: 7.498 7.498 7.498 Å, 110.98 110.98 106.49°
Element x y z (fractional)
Pa 0.108 0.225 0.735
Pa 0.123 0.740 0.765
Pa 0.260 0.025 0.383
Pa 0.490 0.373 0.265
Pa 0.627 0.892 0.117
Pa 0.642 0.877 0.617
Pa 0.775 0.510 0.883
Pa 0.975 0.358 0.235
Ge 0.265 0.625 0.140
Ge 0.375 0.515 0.640
Ge 0.485 0.125 0.860
Ge 0.875 0.735 0.360
Os 0.000 0.000 0.000
Os 0.750 0.250 0.500

---

No. 2
Starting from the GGA-PBE geometry in Alexandria, the powder XRD pattern of PaGe3Os was simulated for Cu Kα (weighted mean of Kα1 and Kα2).
Intensities are scaled so that the largest is 100.

Top 10 peaks for 2θ from 15° to 90°, in order of rising 2θ:
21.12 deg, I = 74; 26.55 deg, I = 55; 29.21 deg, I = 38; 34.89 deg, I = 37; 35.40 deg, I = 43; 35.76 deg, I = 73; 36.95 deg, I = 100; 37.96 deg, I = 52; 46.13 deg, I = 56; 46.82 deg, I = 36

Structural model:
Cell: 6.114 5.573 5.796 Å, 90.00 90.00 90.00°
Element x y z (fractional)
Pa 0.000 0.144 0.000
Pa 0.500 0.856 0.500
Ge 0.000 0.910 0.546
Ge 0.234 0.316 0.442
Ge 0.266 0.684 0.942
Ge 0.500 0.090 0.046
Ge 0.734 0.684 0.942
Ge 0.766 0.316 0.442
Os 0.000 0.611 0.242
Os 0.500 0.389 0.742

---

No. 3
Starting from the GGA-PBE geometry in Alexandria, the powder XRD pattern of Pa4Ge8Os was simulated for Cu Kα (weighted mean of Kα1 and Kα2).
Intensities are scaled so that the largest is 100.

Top 10 peaks for 2θ from 15° to 90°, in order of rising 2θ:
22.30 deg, I = 13; 24.44 deg, I = 22; 31.35 deg, I = 22; 35.19 deg, I = 100; 35.43 deg, I = 28; 40.26 deg, I = 21; 44.00 deg, I = 22; 44.35 deg, I = 22; 58.00 deg, I = 14; 64.25 deg, I = 15

Structural model:
Cell: 4.085 4.116 16.073 Å, 90.00 90.00 90.00°
Element x y z (fractional)
Pa 0.000 0.000 0.000
Pa 0.000 0.500 0.484
Pa 0.500 0.000 0.781
Pa 0.500 0.500 0.279
Ge 0.000 0.000 0.323
Ge 0.000 0.000 0.616
Ge 0.000 0.500 0.141
Ge 0.000 0.500 0.855
Ge 0.500 0.000 0.139
Ge 0.500 0.000 0.434
Ge 0.500 0.500 0.616
Ge 0.500 0.500 0.954
Os 0.000 0.500 0.705

---

No. 4
Starting from the GGA-PBE geometry in Alexandria, the powder XRD pattern of Pm6Ge3Os was simulated for Cu Kα (weighted mean of Kα1 and Kα2).
Intensities are scaled so that the largest is 100.

Top 10 peaks for 2θ from 15° to 90°, in order of rising 2θ:
16.51 deg, I = 19; 21.36 deg, I = 21; 25.34 deg, I = 31; 31.92 deg, I = 43; 36.14 deg, I = 100; 46.86 deg, I = 15; 51.03 deg, I = 18; 52.04 deg, I = 12; 53.02 deg, I = 12; 65.00 deg, I = 13

Structural model:
Cell: 8.609 8.609 8.609 Å, 99.57 99.57 99.57°
Element x y z (fractional)
Pm 0.044 0.682 0.936
Pm 0.064 0.956 0.318
Pm 0.188 0.428 0.565
Pm 0.318 0.064 0.956
Pm 0.428 0.565 0.188
Pm 0.435 0.812 0.572
Pm 0.565 0.188 0.428
Pm 0.572 0.435 0.812
Pm 0.682 0.936 0.044
Pm 0.812 0.572 0.435
Pm 0.936 0.044 0.682
Pm 0.956 0.318 0.064
Ge 0.123 0.626 0.296
Ge 0.296 0.123 0.626
Ge 0.374 0.704 0.877
Ge 0.626 0.296 0.123
Ge 0.704 0.877 0.374
Ge 0.877 0.374 0.704
Os 0.000 0.000 0.000
Os 0.500 0.500 0.500

---

No. 5
Starting from the GGA-PBE geometry in Alexandria, the powder XRD pattern of PmGe3Os3 was simulated for Cu Kα (weighted mean of Kα1 and Kα2).
Intensities are scaled so that the largest is 100.

Top 10 peaks for 2θ from 15° to 90°, in order of rising 2θ:
21.38 deg, I = 32; 29.81 deg, I = 30; 31.74 deg, I = 57; 32.31 deg, I = 24; 36.98 deg, I = 99; 39.07 deg, I = 35; 45.92 deg, I = 100; 47.38 deg, I = 27; 70.78 deg, I = 24; 89.64 deg, I = 27

Structural model:
Cell: 9.599 9.599 3.837 Å, 90.00 90.00 120.00°
Element x y z (fractional)
Pm 0.333 0.667 0.250
Pm 0.667 0.333 0.750
Ge 0.113 0.358 0.750
Ge 0.245 0.887 0.750
Ge 0.358 0.245 0.250
Ge 0.642 0.755 0.750
Ge 0.755 0.113 0.250
Ge 0.887 0.642 0.250
Os 0.035 0.598 0.750
Os 0.402 0.437 0.750
Os 0.437 0.035 0.250
Os 0.563 0.965 0.750
Os 0.598 0.563 0.250
Os 0.965 0.402 0.250

---

No. 6
Starting from the GGA-PBE geometry in Alexandria, the powder XRD pattern of Pm3Ge8Os3 was simulated for Cu Kα (weighted mean of Kα1 and Kα2).
Intensities are scaled so that the largest is 100.

Top 10 peaks for 2θ from 15° to 90°, in order of rising 2θ:
27.67 deg, I = 51; 29.90 deg, I = 34; 33.69 deg, I = 19; 34.01 deg, I = 63; 34.29 deg, I = 42; 37.38 deg, I = 25; 38.76 deg, I = 22; 40.33 deg, I = 100; 47.13 deg, I = 22; 53.93 deg, I = 23

Structural model:
Cell: 8.251 8.251 8.579 Å, 117.48 117.48 31.47°
Element x y z (fractional)
Pm 0.000 0.000 0.000
Pm 0.288 0.288 0.329
Pm 0.712 0.712 0.671
Ge 0.125 0.125 0.402
Ge 0.144 0.144 0.851
Ge 0.363 0.363 0.752
Ge 0.481 0.481 0.305
Ge 0.519 0.519 0.695
Ge 0.637 0.637 0.248
Ge 0.856 0.856 0.149
Ge 0.875 0.875 0.598
Os 0.000 0.000 0.500
Os 0.323 0.323 0.995
Os 0.677 0.677 0.005

---

No. 7
Starting from the GGA-PBE geometry in Alexandria, the powder XRD pattern of GeOsPt was simulated for Cu Kα (weighted mean of Kα1 and Kα2).
Intensities are scaled so that the largest is 100.

Top 10 peaks for 2θ from 15° to 90°, in order of rising 2θ:
24.04 deg, I = 36; 34.65 deg, I = 55; 35.04 deg, I = 20; 40.56 deg, I = 100; 42.10 deg, I = 42; 43.13 deg, I = 65; 47.99 deg, I = 24; 49.22 deg, I = 15; 50.05 deg, I = 15; 73.38 deg, I = 18

Structural model:
Cell: 4.555 4.560 5.609 Å, 101.83 101.89 119.42°
Element x y z (fractional)
Ge 0.000 0.000 0.000
Ge 0.233 0.732 0.501
Os 0.270 0.612 0.919
Os 0.695 0.353 0.086
Pt 0.593 0.418 0.601
Pt 0.820 0.993 0.402

---

No. 8
Starting from the GGA-PBE geometry in Alexandria, the powder XRD pattern of GeOsPt was simulated for Cu Kα (weighted mean of Kα1 and Kα2).
Intensities are scaled so that the largest is 100.

Top 10 peaks for 2θ from 15° to 90°, in order of rising 2θ:
28.86 deg, I = 32; 37.34 deg, I = 40; 38.36 deg, I = 85; 38.61 deg, I = 35; 38.95 deg, I = 100; 40.19 deg, I = 77; 40.67 deg, I = 66; 43.89 deg, I = 71; 45.13 deg, I = 50; 48.86 deg, I = 30

Structural model:
Cell: 4.586 4.854 4.864 Å, 62.50 83.20 75.36°
Element x y z (fractional)
Ge 0.000 0.000 0.000
Ge 0.094 0.637 0.648
Os 0.498 0.804 0.240
Os 0.603 0.472 0.908
Pt 0.097 0.387 0.276
Pt 0.637 0.104 0.585

---

No. 9
Starting from the GGA-PBE geometry in Alexandria, the powder XRD pattern of Pu3GeOs was simulated for Cu Kα (weighted mean of Kα1 and Kα2).
Intensities are scaled so that the largest is 100.

Top 10 peaks for 2θ from 15° to 90°, in order of rising 2θ:
19.80 deg, I = 18; 28.26 deg, I = 19; 32.07 deg, I = 30; 34.50 deg, I = 25; 36.66 deg, I = 100; 38.01 deg, I = 25; 40.09 deg, I = 27; 40.23 deg, I = 20; 41.96 deg, I = 39; 43.26 deg, I = 20

Structural model:
Cell: 3.158 8.968 7.800 Å, 90.00 90.00 90.00°
Element x y z (fractional)
Pu 0.000 0.000 0.000
Pu 0.000 0.206 0.597
Pu 0.000 0.293 0.246
Pu 0.000 0.500 0.842
Pu 0.000 0.707 0.246
Pu 0.000 0.794 0.597
Ge 0.500 0.000 0.354
Ge 0.500 0.500 0.488
Os 0.500 0.246 0.913
Os 0.500 0.754 0.913

---

No. 10
Starting from the GGA-PBE geometry in Alexandria, the powder XRD pattern of Pu6Ge2Os was simulated for Cu Kα (weighted mean of Kα1 and Kα2).
Intensities are scaled so that the largest is 100.

Top 10 peaks for 2θ from 15° to 90°, in order of rising 2θ:
23.11 deg, I = 14; 23.20 deg, I = 18; 32.83 deg, I = 17; 36.34 deg, I = 100; 37.50 deg, I = 11; 37.66 deg, I = 16; 37.83 deg, I = 19; 41.86 deg, I = 18; 42.17 deg, I = 9; 65.40 deg, I = 13

Structural model:
Cell: 4.942 8.566 9.902 Å, 90.00 119.33 90.00°
Element x y z (fractional)
Pu 0.093 0.152 0.095
Pu 0.093 0.348 0.595
Pu 0.122 0.520 0.158
Pu 0.122 0.980 0.658
Pu 0.336 0.187 0.381
Pu 0.336 0.313 0.881
Pu 0.664 0.687 0.119
Pu 0.664 0.813 0.619
Pu 0.878 0.020 0.342
Pu 0.878 0.480 0.842
Pu 0.907 0.652 0.405
Pu 0.907 0.848 0.905
Ge 0.302 0.661 0.768
Ge 0.302 0.839 0.268
Ge 0.698 0.161 0.732
Ge 0.698 0.339 0.232
Os 0.500 0.000 0.000
Os 0.500 0.500 0.500

---

No. 11
Starting from the GGA-PBE geometry in Alexandria, the powder XRD pattern of Pu6Ge5Os was simulated for Cu Kα (weighted mean of Kα1 and Kα2).
Intensities are scaled so that the largest is 100.

Top 10 peaks for 2θ from 15° to 90°, in order of rising 2θ:
22.14 deg, I = 31; 29.64 deg, I = 23; 34.92 deg, I = 100; 37.16 deg, I = 70; 41.90 deg, I = 33; 42.21 deg, I = 20; 45.16 deg, I = 27; 63.30 deg, I = 19; 63.53 deg, I = 30; 78.08 deg, I = 19

Structural model:
Cell: 7.805 7.805 4.719 Å, 102.75 102.75 61.92°
Element x y z (fractional)
Pu 0.084 0.601 0.252
Pu 0.247 0.753 0.000
Pu 0.399 0.916 0.748
Pu 0.601 0.084 0.252
Pu 0.753 0.247 0.000
Pu 0.916 0.399 0.748
Ge 0.164 0.164 0.257
Ge 0.331 0.331 0.752
Ge 0.500 0.500 0.500
Ge 0.669 0.669 0.248
Ge 0.836 0.836 0.743
Os 0.000 0.000 0.500

---

No. 12
Starting from the GGA-PBE geometry in Alexandria, the powder XRD pattern of ReGe4Os was simulated for Cu Kα (weighted mean of Kα1 and Kα2).
Intensities are scaled so that the largest is 100.

Top 10 peaks for 2θ from 15° to 90°, in order of rising 2θ:
19.69 deg, I = 100; 32.25 deg, I = 59; 35.26 deg, I = 31; 39.99 deg, I = 55; 43.21 deg, I = 54; 44.95 deg, I = 24; 54.36 deg, I = 17; 57.83 deg, I = 18; 60.33 deg, I = 20; 67.48 deg, I = 23

Structural model:
Cell: 7.084 7.084 7.084 Å, 100.92 100.92 128.40°
Element x y z (fractional)
Re 0.375 0.625 0.750
Re 0.625 0.375 0.250
Ge 0.237 0.742 0.495
Ge 0.253 0.258 0.995
Ge 0.258 0.253 0.495
Ge 0.258 0.763 0.005
Ge 0.742 0.237 0.995
Ge 0.742 0.747 0.505
Ge 0.747 0.742 0.005
Ge 0.763 0.258 0.505
Os 0.125 0.875 0.250
Os 0.875 0.125 0.750